For Y12Ge5S28, a GGA-PBE-relaxed structure gives the calculated PXRD pattern in this record (λ = 1.5418 Å (Cu Kα)).

Cell and atoms:
```
data_Y12Ge5S28
_chemical_formula_sum 'Y12 Ge5 S28'
_cell_length_a 9.813
_cell_length_b 11.428
_cell_length_c 11.446
_cell_angle_alpha 61.88
_cell_angle_beta 64.62
_cell_angle_gamma 64.59
_space_group_name_H-M_alt 'P 1'
_space_group_IT_number 1
loop_
_space_group_symop_operation_xyz
'x,y,z'
loop_
_atom_site_label
_atom_site_type_symbol
_atom_site_fract_x
_atom_site_fract_y
_atom_site_fract_z
Y1 Y 0.000 0.000 0.000
Y2 Y 0.002 0.467 0.514
Y3 Y 0.074 0.703 0.711
Y4 Y 0.084 0.192 0.228
Y5 Y 0.353 0.654 0.213
Y6 Y 0.355 0.174 0.671
Y7 Y 0.435 0.894 0.387
Y8 Y 0.446 0.350 0.915
Y9 Y 0.563 0.231 0.271
Y10 Y 0.586 0.741 0.746
Y11 Y 0.854 0.609 0.167
Y12 Y 0.867 0.134 0.631
Ge1 Ge 0.221 0.643 0.991
Ge2 Ge 0.551 0.511 0.465
Ge3 Ge 0.554 0.000 0.953
Ge4 Ge 0.885 0.430 0.873
Ge5 Ge 0.886 0.928 0.370
S1 S 0.062 0.163 0.728
S2 S 0.067 0.654 0.228
S3 S 0.117 0.956 0.523
S4 S 0.121 0.438 0.721
S5 S 0.121 0.454 0.027
S6 S 0.124 0.935 0.217
S7 S 0.315 0.151 0.943
S8 S 0.317 0.671 0.460
S9 S 0.317 0.824 0.947
S10 S 0.318 0.370 0.427
S11 S 0.357 0.635 0.764
S12 S 0.382 0.158 0.206
S13 S 0.466 0.482 0.056
S14 S 0.475 0.982 0.547
S15 S 0.550 0.321 0.650
S16 S 0.554 0.816 0.145
S17 S 0.637 0.470 0.267
S18 S 0.646 0.968 0.752
S19 S 0.689 0.642 0.432
S20 S 0.711 0.121 0.912
S21 S 0.736 0.461 0.751
S22 S 0.743 0.965 0.240
S23 S 0.792 0.630 0.909
S24 S 0.793 0.126 0.410
S25 S 0.879 0.247 0.066
S26 S 0.892 0.734 0.553
S27 S 0.953 0.341 0.396
S28 S 0.986 0.804 0.928
```

Peak list (10 most intense, 2θ = 10–90°, in order of rising 2θ)
2θ 20.91, d 4.248, intensity 33, (2 2 2)
2θ 23.62, d 3.767, intensity 20, (1 -2 0)
2θ 25.87, d 3.444, intensity 100, (2 1 3)
2θ 31.75, d 2.819, intensity 21, (2 -2 0)
2θ 35.17, d 2.552, intensity 25, (3 4 2)
2θ 35.60, d 2.522, intensity 19, (2 -1 3)
2θ 36.64, d 2.453, intensity 61, (4 2 2)
2θ 37.19, d 2.418, intensity 45, (2 4 0)
2θ 38.19, d 2.357, intensity 26, (-3 1 1)
2θ 41.27, d 2.188, intensity 21, (4 0 2)